Computed X-ray diffraction stick pattern
Compound: ErSn3Rh3
Radiation: Cu Kα, 1.54184 Å
Structure: DFT lattice parameters and positions (PBE)

Cell lengths 7.143, 7.143, 7.143 Å; angles 90.00, 90.00, 90.00 degrees
Fractional positions:
Er  0.000  0.000  0.000
Er  0.500  0.500  0.500
Sn  0.000  0.250  0.500
Sn  0.000  0.750  0.500
Sn  0.250  0.500  0.000
Sn  0.500  0.000  0.250
Sn  0.500  0.000  0.750
Sn  0.750  0.500  0.000
Rh  0.000  0.500  0.250
Rh  0.000  0.500  0.750
Rh  0.250  0.000  0.500
Rh  0.500  0.250  0.000
Rh  0.500  0.750  0.000
Rh  0.750  0.000  0.500

The 10 most intense peaks (2θ from 5° to 70°), low angle first:
| Position (°2θ) | I (rel.) |
| --- | --- |
| 17.56 | 5 |
| 24.93 | 42 |
| 30.66 | 100 |
| 35.55 | 1 |
| 39.91 | 1 |
| 43.91 | 22 |
| 47.64 | 59 |
| 51.15 | 28 |
| 57.72 | 17 |
| 60.82 | 14 |

***

Computed X-ray diffraction stick pattern
Compound: Ti4Ga2Tc
Radiation: Cu Kα, 1.54184 Å
Structure: DFT lattice parameters and positions (PBE)

Cell lengths 7.510, 7.510, 7.510 Å; angles 144.46, 144.46, 51.14 degrees
Fractional positions:
Ti  0.000  0.500  0.500
Ti  0.181  0.181  0.000
Ti  0.500  0.000  0.500
Ti  0.819  0.819  0.000
Ga  0.373  0.373  0.000
Ga  0.627  0.627  0.000
Tc  0.000  0.000  0.000

The 10 most intense peaks (2θ from 5° to 70°), low angle first:
| Position (°2θ) | I (rel.) |
| --- | --- |
| 13.07 | 72 |
| 27.52 | 85 |
| 27.73 | 36 |
| 38.44 | 28 |
| 38.60 | 85 |
| 39.31 | 100 |
| 39.92 | 20 |
| 56.27 | 54 |
| 56.80 | 32 |
| 57.27 | 26 |

***

Computed X-ray diffraction stick pattern
Compound: Li2ScRe
Radiation: Cu Kα, 1.54184 Å
Structure: DFT lattice parameters and positions (PBE)

Cell lengths 2.790, 2.790, 9.656 Å; angles 90.00, 90.00, 109.30 degrees
Fractional positions:
Li  0.000  0.000  0.000
Li  0.500  0.500  0.264
Sc  0.500  0.500  0.714
Re  0.000  0.000  0.490

The 10 most intense peaks (2θ from 5° to 70°), low angle first:
| Position (°2θ) | I (rel.) |
| --- | --- |
| 9.16 | 100 |
| 18.38 | 12 |
| 27.72 | 6 |
| 34.05 | 5 |
| 35.33 | 15 |
| 37.25 | 5 |
| 38.96 | 21 |
| 39.60 | 5 |
| 40.73 | 6 |
| 44.45 | 11 |

***

Computed X-ray diffraction stick pattern
Compound: Li3Cu3P2O8
Radiation: Cu Kα, 1.54184 Å
Structure: DFT lattice parameters and positions (PBE)

Cell lengths 5.127, 6.287, 5.369 Å; angles 90.00, 90.45, 90.00 degrees
Fractional positions:
Li  0.000  0.000  0.000
Li  0.982  0.252  0.516
Li  0.982  0.748  0.516
Cu  0.482  0.500  0.615
Cu  0.518  0.289  0.208
Cu  0.518  0.711  0.208
P  0.001  0.500  0.005
P  0.491  0.000  0.687
O  0.305  0.500  0.989
O  0.368  0.197  0.548
O  0.368  0.803  0.548
O  0.397  0.000  0.960
O  0.793  0.000  0.666
O  0.893  0.500  0.734
O  0.915  0.294  0.148
O  0.915  0.706  0.148

The 10 most intense peaks (2θ from 5° to 70°), low angle first:
| Position (°2θ) | I (rel.) |
| --- | --- |
| 14.09 | 42 |
| 17.30 | 100 |
| 33.02 | 71 |
| 33.38 | 33 |
| 35.00 | 44 |
| 37.44 | 23 |
| 37.57 | 39 |
| 37.70 | 21 |
| 48.97 | 31 |
| 59.43 | 22 |

***

Computed X-ray diffraction stick pattern
Compound: Hf2Pd7Au3
Radiation: Cu Kα, 1.54184 Å
Structure: DFT lattice parameters and positions (PBE)

Cell lengths 9.516, 9.122, 4.919 Å; angles 79.18, 70.31, 30.52 degrees
Fractional positions:
Hf  0.164  0.164  0.836
Hf  0.836  0.836  0.164
Pd  0.000  0.000  0.000
Pd  0.084  0.084  0.416
Pd  0.250  0.250  0.250
Pd  0.416  0.416  0.084
Pd  0.584  0.584  0.916
Pd  0.750  0.750  0.750
Pd  0.916  0.916  0.584
Au  0.333  0.333  0.667
Au  0.500  0.500  0.500
Au  0.667  0.667  0.333

The 10 most intense peaks (2θ from 5° to 70°), low angle first:
| Position (°2θ) | I (rel.) |
| --- | --- |
| 22.38 | 10 |
| 30.80 | 5 |
| 38.41 | 100 |
| 38.59 | 98 |
| 44.29 | 67 |
| 45.68 | 31 |
| 50.17 | 5 |
| 64.17 | 11 |
| 64.67 | 11 |
| 65.51 | 42 |

***

Computed X-ray diffraction stick pattern
Compound: La4RuS2Cl
Radiation: Cu Kα, 1.54184 Å
Structure: DFT lattice parameters and positions (PBE)

Cell lengths 7.305, 4.117, 7.321 Å; angles 90.00, 107.72, 90.00 degrees
Fractional positions:
La  0.246  0.000  0.228
La  0.254  0.500  0.763
La  0.746  0.500  0.237
La  0.754  0.000  0.772
Ru  0.500  0.000  0.000
S  0.000  0.000  0.500
S  0.000  0.500  0.000
Cl  0.500  0.500  0.500

The 10 most intense peaks (2θ from 5° to 70°), low angle first:
| Position (°2θ) | I (rel.) |
| --- | --- |
| 12.70 | 14 |
| 25.58 | 29 |
| 26.39 | 28 |
| 30.01 | 100 |
| 30.27 | 48 |
| 41.89 | 19 |
| 43.14 | 71 |
| 43.99 | 17 |
| 54.33 | 18 |
| 62.36 | 11 |